Entry 1:
The following is a calculated X-ray diffraction stick pattern of La5PuSn4. It was derived from a structure optimized by DFT (GGA-PBE), using Cu Kα, 1.54184 Å.

Peak list (6 most intense, 2θ = 5–70°, by intensity)
2θ = 33.22°, I = 100; 2θ = 31.98°, I = 55; 2θ = 57.83°, I = 31; 2θ = 45.86°, I = 20; 2θ = 60.16°, I = 14; 2θ = 22.47°, I = 13

Crystal structure
abc: 8.8589 8.8589 7.3698
angles: 90.10 90.10 36.78
Positions (direct):
La (0.0000, 0.0000, 0.0000)
La (0.3344, 0.3344, 0.0070)
La (0.3351, 0.3351, 0.4905)
La (0.6649, 0.6649, 0.5095)
La (0.6656, 0.6656, 0.9930)
Pu (0.0000, 0.0000, 0.5000)
Sn (0.1740, 0.1740, 0.7494)
Sn (0.4924, 0.4924, 0.7447)
Sn (0.5076, 0.5076, 0.2553)
Sn (0.8260, 0.8260, 0.2506)

Entry 2:
The following is a calculated X-ray diffraction stick pattern of Rb6SnBi4. It was derived from a structure optimized by DFT (GGA-PBE), using Cu Kα, 1.54184 Å.

Peak list (6 most intense, 2θ = 5–70°, by intensity)
2θ = 29.12°, I = 100; 2θ = 26.94°, I = 96; 2θ = 8.32°, I = 50; 2θ = 27.31°, I = 48; 2θ = 19.74°, I = 38; 2θ = 49.45°, I = 34

Crystal structure
abc: 12.2643 12.2643 8.4627
angles: 90.00 90.00 120.00
Positions (direct):
Rb (0.0335, 0.5167, 0.0000)
Rb (0.1503, 0.3005, 0.7210)
Rb (0.1503, 0.8497, 0.7210)
Rb (0.3005, 0.1503, 0.2210)
Rb (0.4833, 0.5167, 0.0000)
Rb (0.4833, 0.9665, 0.0000)
Rb (0.5167, 0.0335, 0.5000)
Rb (0.5167, 0.4833, 0.5000)
Rb (0.6995, 0.8497, 0.7210)
Rb (0.8497, 0.1503, 0.2210)
Rb (0.8497, 0.6995, 0.2210)
Rb (0.9665, 0.4833, 0.5000)
Sn (0.3333, 0.6667, 0.3514)
Sn (0.6667, 0.3333, 0.8514)
Bi (0.1968, 0.3936, 0.2747)
Bi (0.1968, 0.8032, 0.2747)
Bi (0.3333, 0.6667, 0.7016)
Bi (0.3936, 0.1968, 0.7747)
Bi (0.6064, 0.8032, 0.2747)
Bi (0.6667, 0.3333, 0.2016)
Bi (0.8032, 0.1968, 0.7747)
Bi (0.8032, 0.6064, 0.7747)

Entry 3:
The following is a calculated X-ray diffraction stick pattern of Y2Tm6Mg. It was derived from a structure optimized by DFT (GGA-PBE), using Cu Kα, 1.54184 Å.

Peak list (6 most intense, 2θ = 5–70°, by intensity)
2θ = 31.44°, I = 100; 2θ = 36.58°, I = 33; 2θ = 62.66°, I = 28; 2θ = 52.44°, I = 24; 2θ = 36.24°, I = 17; 2θ = 62.21°, I = 14

Crystal structure
abc: 10.4221 10.4221 4.9577
angles: 90.00 90.00 90.00
Positions (direct):
Y (0.1634, 0.1634, 0.0000)
Y (0.3366, 0.6634, 0.5000)
Y (0.6634, 0.3366, 0.5000)
Y (0.8366, 0.8366, 0.0000)
Tm (0.0014, 0.6648, 0.5000)
Tm (0.1648, 0.4986, 0.0000)
Tm (0.1696, 0.8304, 0.0000)
Tm (0.3304, 0.3304, 0.5000)
Tm (0.3352, 0.9986, 0.5000)
Tm (0.4986, 0.1648, 0.0000)
Tm (0.5014, 0.8352, 0.0000)
Tm (0.6648, 0.0014, 0.5000)
Tm (0.6696, 0.6696, 0.5000)
Tm (0.8304, 0.1696, 0.0000)
Tm (0.8352, 0.5014, 0.0000)
Tm (0.9986, 0.3352, 0.5000)
Mg (0.0000, 0.0000, 0.5000)
Mg (0.5000, 0.5000, 0.0000)

Entry 4:
The following is a calculated X-ray diffraction stick pattern of Sr3Sb3Pb. It was derived from a structure optimized by DFT (GGA-PBE), using Cu Kα, 1.54184 Å.

Peak list (6 most intense, 2θ = 5–70°, by intensity)
2θ = 37.21°, I = 100; 2θ = 35.24°, I = 94; 2θ = 34.98°, I = 90; 2θ = 23.16°, I = 77; 2θ = 13.90°, I = 52; 2θ = 25.35°, I = 51

Crystal structure
abc: 11.0128 11.0128 13.5852
angles: 90.00 90.00 40.92
Positions (direct):
Sr (0.0020, 0.6488, 0.1278)
Sr (0.1488, 0.5020, 0.6278)
Sr (0.1718, 0.8282, 0.8628)
Sr (0.3282, 0.6718, 0.3628)
Sr (0.3512, 0.9980, 0.1278)
Sr (0.4980, 0.8512, 0.6278)
Sr (0.5020, 0.1488, 0.3722)
Sr (0.6488, 0.0020, 0.8722)
Sr (0.6718, 0.3282, 0.6372)
Sr (0.8282, 0.1718, 0.1372)
Sr (0.8512, 0.4980, 0.3722)
Sr (0.9980, 0.3512, 0.8722)
Sb (0.0759, 0.5927, 0.3713)
Sb (0.0927, 0.5759, 0.8713)
Sb (0.2408, 0.7592, 0.6204)
Sb (0.2592, 0.7408, 0.1204)
Sb (0.4073, 0.9241, 0.3713)
Sb (0.4241, 0.9073, 0.8713)
Sb (0.5759, 0.0927, 0.1287)
Sb (0.5927, 0.0759, 0.6287)
Sb (0.7408, 0.2592, 0.8796)
Sb (0.7592, 0.2408, 0.3796)
Sb (0.9073, 0.4241, 0.1287)
Sb (0.9241, 0.4073, 0.6287)
Pb (0.0896, 0.0896, 0.5000)
Pb (0.4104, 0.4104, 0.0000)
Pb (0.5896, 0.5896, 0.0000)
Pb (0.9104, 0.9104, 0.5000)